Diffraction record for CaLaBiO2. The PXRD pattern is theoretical, not measured: it uses a GGA-PBE-relaxed structure and Cu Kα X-rays.

```
data_CaLaBiO2
_space_group_name_H-M_alt 'I 4 m m'
_space_group_IT_number 107
_space_group_name_Hall 'I 4 -2'
_cell_length_a 4.0304
_cell_length_b 4.0304
_cell_length_c 15.4422
_cell_angle_alpha 90.00
_cell_angle_beta 90.00
_cell_angle_gamma 90.00
loop_
_atom_site_label
_atom_site_type_symbol
_atom_site_fract_x
_atom_site_fract_y
_atom_site_fract_z
Ca1 Ca 0.0000 0.0000 0.0000
La1 La 0.0000 0.0000 0.3612
Bi1 Bi 0.0000 0.0000 0.6777
O1 O 0.0000 0.5000 0.4312
```

Largest 10 diffraction maxima, in order of falling intensity, 15 to 90 degrees two-theta:
two_theta  d [Å]  I/Imax
28.1  3.173  100
53.9  1.701  33
31.4  2.850  32
22.8  3.900  28
47.6  1.910  25
45.0  2.015  17
23.0  3.861  16
47.0  1.935  11
34.9  2.574  11
58.1  1.587  10

---

Diffraction record for CsLiMg6. The PXRD pattern is theoretical, not measured: it uses a GGA-PBE-relaxed structure and Cu Kα X-rays.

```
data_CsLiMg6
_space_group_name_H-M_alt 'A m m 2'
_space_group_IT_number 38
_space_group_name_Hall 'A 2 -2'
_cell_length_a 5.0087
_cell_length_b 6.1421
_cell_length_c 18.6499
_cell_angle_alpha 90.00
_cell_angle_beta 90.00
_cell_angle_gamma 90.00
loop_
_atom_site_label
_atom_site_type_symbol
_atom_site_fract_x
_atom_site_fract_y
_atom_site_fract_z
Cs1 Cs 0.0000 0.0000 0.0000
Li1 Li 0.0000 0.0000 0.3584
Mg1 Mg 0.0000 0.2464 0.7200
Mg2 Mg 0.5000 0.0000 0.1746
Mg3 Mg 0.5000 0.0000 0.6643
Mg4 Mg 0.5000 0.2458 0.8236
```

Largest 10 diffraction maxima, in order of falling intensity, 15 to 90 degrees two-theta:
two_theta  d [Å]  I/Imax
15.2  5.834  100
23.4  3.800  75
26.1  3.413  74
20.1  4.412  66
35.6  2.521  65
27.1  3.293  60
20.3  4.369  59
30.6  2.917  43
35.9  2.504  32
19.0  4.662  32

---

Diffraction record for Ac2CePrRh2. The PXRD pattern is theoretical, not measured: it uses a GGA-PBE-relaxed structure and Cu Kα X-rays.

```
data_Ac2CePrRh2
_space_group_name_H-M_alt 'I b a m'
_space_group_IT_number 72
_space_group_name_Hall '-I 2 2c'
_cell_length_a 7.2975
_cell_length_b 13.9261
_cell_length_c 7.1447
_cell_angle_alpha 90.00
_cell_angle_beta 90.00
_cell_angle_gamma 90.00
loop_
_atom_site_label
_atom_site_type_symbol
_atom_site_fract_x
_atom_site_fract_y
_atom_site_fract_z
Ac1 Ac 0.2053 0.1960 0.0000
Ce1 Ce 0.0000 0.0000 0.2500
Pr1 Pr 0.0000 0.5000 0.2500
Rh1 Rh 0.2197 0.0952 0.5000
```

Largest 10 diffraction maxima, in order of falling intensity, 15 to 90 degrees two-theta:
two_theta  d [Å]  I/Imax
31.1  2.876  100
35.2  2.553  85
28.1  3.178  63
27.6  3.232  55
47.9  1.898  31
42.8  2.113  30
59.1  1.564  25
24.9  3.572  19
51.1  1.786  18
47.3  1.921  18

---

Diffraction record for Eu3Ir. The PXRD pattern is theoretical, not measured: it uses a GGA-PBE-relaxed structure and Cu Kα X-rays.

```
data_Eu3Ir
_space_group_name_H-M_alt 'P m m 2'
_space_group_IT_number 25
_space_group_name_Hall 'P 2 -2'
_cell_length_a 3.5902
_cell_length_b 3.8396
_cell_length_c 10.0780
_cell_angle_alpha 90.00
_cell_angle_beta 90.00
_cell_angle_gamma 90.00
loop_
_atom_site_label
_atom_site_type_symbol
_atom_site_fract_x
_atom_site_fract_y
_atom_site_fract_z
Eu1 Eu 0.0000 0.0000 0.0000
Eu2 Eu 0.0000 0.5000 0.3466
Eu3 Eu 0.5000 0.0000 0.6649
Ir1 Ir 0.5000 0.5000 0.8663
```

Largest 10 diffraction maxima, in order of falling intensity, 15 to 90 degrees two-theta:
two_theta  d [Å]  I/Imax
35.4  2.538  100
29.2  3.054  92
26.4  3.382  79
38.7  2.326  36
43.8  2.067  29
42.9  2.106  28
55.0  1.669  27
17.6  5.039  25
59.8  1.548  25
36.6  2.453  24